Simulated X-ray diffraction stick pattern of Te2Pt2AuF2 for Cu Kα, 1.54184 Å, from a crystal structure in OQMD, relaxed with GGA-PBE.

Structural model:
Cell: 3.570 3.570 9.961 Å, 90.00 90.00 90.00°
Sites, in units of the cell vectors:
Te: 0.000 0.500 0.224
Te: 0.500 0.000 0.776
Pt: 0.000 0.500 0.665
Pt: 0.500 0.000 0.335
Au: 0.000 0.000 0.000
F: 0.000 0.000 0.500
F: 0.500 0.500 0.500

Principal peaks in the range 2θ = 10–80°, most intense first:
40.04 deg, intensity 100, (1 1 2)
30.82 deg, intensity 98, (1 0 2)
44.35 deg, intensity 46, (1 0 4)
51.17 deg, intensity 43, (2 0 0)
52.61 deg, intensity 32, (1 0 5)
26.52 deg, intensity 31, (1 0 1)
26.85 deg, intensity 30, (0 0 3)
36.73 deg, intensity 29, (1 1 1)
60.94 deg, intensity 29, (2 1 2)
36.97 deg, intensity 26, (1 0 3)